Entry 1:
The following is a simulated PXRD pattern of Sm3Si4Au2. It was derived from DFT lattice parameters and positions (PBE), using CuKα.
Neutral-atom scattering factors, no anomalous dispersion.

Cell: 11.014 4.239 8.335 Å, 90.00 101.35 90.00°
Space group C2/m (No. 12)
Unique sites:
1 Sm 0.000 0.000 0.000 [2 per cell]
2 Sm 0.163 0.500 0.672 [4 per cell]
3 Si 0.054 0.000 0.392 [4 per cell]
4 Si 0.224 0.500 0.053 [4 per cell]
5 Au 0.114 0.500 0.281 [4 per cell]

Peak list (10 most intense, 5° ≤ 2θ ≤ 70°, by angle)
- d = 4.978 Å, intensity 18, hkl 2 0 -1
- d = 3.946 Å, intensity 17, hkl 1 1 0
- d = 2.946 Å, intensity 15, hkl 1 1 -2
- d = 2.743 Å, intensity 100, hkl 3 1 0
- d = 2.726 Å, intensity 57, hkl 0 0 3
- d = 2.119 Å, intensity 22, hkl 0 2 0
- d = 2.097 Å, intensity 43, hkl 3 1 -3
- d = 2.073 Å, intensity 21, hkl 4 0 2
- d = 1.673 Å, intensity 23, hkl 0 2 3
- d = 1.474 Å, intensity 28, hkl 1 1 5



Entry 2:
The following is a simulated PXRD pattern of SmSi2Sn2Au7. It was derived from DFT lattice parameters and positions (PBE), using CuKα.
Neutral-atom scattering factors, no anomalous dispersion.

Cell: 6.277 6.969 12.181 Å, 90.00 90.73 90.00°
Space group C2/m (No. 12)
Unique sites:
1 Sm 0.000 0.000 0.000 [2 per cell]
2 Si 0.139 0.500 0.228 [4 per cell]
3 Sn 0.119 0.000 0.370 [4 per cell]
4 Au 0.000 0.500 0.000 [2 per cell]
5 Au 0.170 0.500 0.427 [4 per cell]
6 Au 0.195 0.295 0.826 [8 per cell]

Peak list (10 most intense, 5° ≤ 2θ ≤ 70°, by angle)
- d = 12.180 Å, intensity 39, hkl 0 0 1
- d = 3.350 Å, intensity 25, hkl 0 2 1
- d = 3.025 Å, intensity 77, hkl 0 2 2
- d = 2.775 Å, intensity 79, hkl 2 0 2
- d = 2.644 Å, intensity 75, hkl 0 2 3
- d = 2.498 Å, intensity 62, hkl 2 0 -3
- d = 2.436 Å, intensity 45, hkl 0 0 5
- d = 2.294 Å, intensity 100, hkl 2 2 -1
- d = 1.768 Å, intensity 27, hkl 1 3 4
- d = 1.539 Å, intensity 34, hkl 2 2 -6



Entry 3:
The following is a simulated PXRD pattern of Sr3SiSn2Au6. It was derived from DFT lattice parameters and positions (PBE), using CuKα.
Neutral-atom scattering factors, no anomalous dispersion.

Cell: 6.5497 6.5497 8.4339 Å, 90.00 90.00 120.00°
Space group P-3m1 (No. 164)
Unique sites:
1 Sr 0.0000 0.0000 0.0000 [1 per cell]
2 Sr 0.3333 0.6667 0.6668 [2 per cell]
3 Si 0.0000 0.0000 0.5000 [1 per cell]
4 Sn 0.3333 0.6667 0.0746 [2 per cell]
5 Au 0.1743 0.3485 0.3229 [6 per cell]

Peak list (10 most intense, 5° ≤ 2θ ≤ 70°, by angle)
- d = 8.434 Å, intensity 27, hkl 0 0 1
- d = 4.707 Å, intensity 38, hkl 1 0 1
- d = 2.836 Å, intensity 27, hkl 2 0 0
- d = 2.811 Å, intensity 39, hkl 0 0 3
- d = 2.688 Å, intensity 98, hkl 0 2 1
- d = 2.353 Å, intensity 100, hkl 2 0 2
- d = 1.997 Å, intensity 24, hkl 0 2 3
- d = 1.692 Å, intensity 25, hkl 0 2 4
- d = 1.637 Å, intensity 33, hkl 2 2 0
- d = 1.415 Å, intensity 28, hkl 2 2 3



Entry 4:
The following is a simulated PXRD pattern of SrSi3Au. It was derived from DFT lattice parameters and positions (PBE), using CuKα.
Neutral-atom scattering factors, no anomalous dispersion.

Cell: 4.480 4.480 9.856 Å, 90.00 90.00 90.00°
Space group I4mm (No. 107)
Unique sites:
1 Sr 0.000 0.000 0.000 [2 per cell]
2 Si 0.000 0.000 0.627 [2 per cell]
3 Si 0.000 0.500 0.244 [4 per cell]
4 Au 0.000 0.000 0.368 [2 per cell]

Peak list (10 most intense, 5° ≤ 2θ ≤ 70°, by angle)
- d = 4.928 Å, intensity 36, hkl 0 0 2
- d = 4.078 Å, intensity 71, hkl 1 0 1
- d = 3.168 Å, intensity 65, hkl 1 1 0
- d = 2.665 Å, intensity 58, hkl 1 1 2
- d = 2.649 Å, intensity 100, hkl 1 0 3
- d = 2.240 Å, intensity 53, hkl 2 0 0
- d = 1.963 Å, intensity 21, hkl 2 1 1
- d = 1.804 Å, intensity 27, hkl 1 0 5
- d = 1.710 Å, intensity 54, hkl 2 1 3
- d = 1.405 Å, intensity 23, hkl 2 1 5